Entry 1:
Theoretical powder X-ray diffraction pattern
Compound: Li2FeSiO4
Radiation: Cu Kα (weighted mean of Kα1 and Kα2)
Structure: a cell relaxed with GGA+U
Peak positions follow from Bragg's law for the DFT cell and can differ from measured ones.

Peak list (6 most intense, 2θ from 10° to 90°, in order of rising 2θ)
Position (°2θ)	I/Imax	index
16.47	48	2 0 0
24.19	100	2 0 1
28.17	46	0 2 0
32.81	53	2 2 0
33.30	36	4 0 0
35.61	49	0 0 2

Atomic structure:
```
data_Li2FeSiO4
_symmetry_space_group_name_H-M 'P n m a'
_symmetry_Int_Tables_number 62
_symmetry_space_group_name_Hall '-P 2ac 2n'
_cell_length_a 10.762
_cell_length_b 6.335
_cell_length_c 5.042
_cell_angle_alpha 90.00
_cell_angle_beta 90.00
_cell_angle_gamma 90.00
loop_
_atom_site_label
_atom_site_type_symbol
_atom_site_fract_x
_atom_site_fract_y
_atom_site_fract_z
Li1 Li 0.088 0.001 0.183
Fe1 Fe 0.162 0.250 0.686
Si1 Si 0.165 0.750 0.675
O1 O 0.093 0.536 0.786
O2 O 0.161 0.750 0.347
O3 O 0.188 0.250 0.274
```


Entry 2:
Theoretical powder X-ray diffraction pattern
Compound: LiFeSiO4
Radiation: Cu Kα (weighted mean of Kα1 and Kα2)
Structure: a cell relaxed with GGA+U
Peak positions follow from Bragg's law for the DFT cell and can differ from measured ones.

Peak list (6 most intense, 2θ from 10° to 90°, in order of rising 2θ)
Position (°2θ)	I/Imax	index
21.63	100	2 0 1
21.91	98	0 1 1
31.69	35	2 0 2
33.06	19	1 1 2
34.61	30	4 0 0
35.32	35	0 2 0

Atomic structure:
```
data_LiFeSiO4
_symmetry_space_group_name_H-M 'P n a 21'
_symmetry_Int_Tables_number 33
_symmetry_space_group_name_Hall 'P 2c -2n'
_cell_length_a 10.368
_cell_length_b 5.082
_cell_length_c 6.734
_cell_angle_alpha 90.00
_cell_angle_beta 90.00
_cell_angle_gamma 90.00
loop_
_atom_site_label
_atom_site_type_symbol
_atom_site_fract_x
_atom_site_fract_y
_atom_site_fract_z
Li1 Li 0.157 0.184 0.000
Fe1 Fe 0.160 0.183 0.499
Si1 Si 0.092 0.682 0.750
O1 O 0.062 0.243 0.263
O2 O 0.114 0.361 0.737
O3 O 0.160 0.816 0.552
O4 O 0.168 0.795 0.948
```


Entry 3:
Theoretical powder X-ray diffraction pattern
Compound: Li7Fe7SiO16
Radiation: Cu Kα (weighted mean of Kα1 and Kα2)
Structure: a cell relaxed with GGA+U
Peak positions follow from Bragg's law for the DFT cell and can differ from measured ones.

Peak list (6 most intense, 2θ from 10° to 90°, in order of rising 2θ)
Position (°2θ)	I/Imax	index
24.22	100	1 1 2
38.01	14	1 3 2
41.25	28	0 4 0
44.77	46	2 0 4
57.34	12	1 5 2
62.50	26	2 4 4

Atomic structure:
```
data_Li7Fe7SiO16
_symmetry_space_group_name_H-M 'C 2 2 2'
_symmetry_Int_Tables_number 21
_symmetry_space_group_name_Hall 'C 2 2'
_cell_length_a 5.747
_cell_length_b 8.754
_cell_length_c 11.410
_cell_angle_alpha 90.00
_cell_angle_beta 90.00
_cell_angle_gamma 90.00
loop_
_atom_site_label
_atom_site_type_symbol
_atom_site_fract_x
_atom_site_fract_y
_atom_site_fract_z
Li1 Li 0.000 0.000 0.000
Li2 Li 0.000 0.500 0.251
Li3 Li 0.250 0.250 0.127
Li4 Li 0.250 0.250 0.622
Fe1 Fe 0.000 0.000 0.262
Fe2 Fe 0.000 0.500 0.000
Fe3 Fe 0.250 0.250 0.379
Fe4 Fe 0.250 0.250 0.873
Si1 Si 0.000 0.500 0.500
O1 O 0.000 0.268 0.000
O2 O 0.000 0.298 0.500
O3 O 0.001 0.228 0.255
O4 O 0.228 0.484 0.383
O5 O 0.250 0.018 0.872
```


Entry 4:
Theoretical powder X-ray diffraction pattern
Compound: LiFeSiO4
Radiation: Cu Kα (weighted mean of Kα1 and Kα2)
Structure: a cell relaxed with GGA+U
Peak positions follow from Bragg's law for the DFT cell and can differ from measured ones.

Peak list (6 most intense, 2θ from 10° to 90°, in order of rising 2θ)
Position (°2θ)	I/Imax	index
15.78	81	2 0 0
23.67	100	2 1 0
29.33	37	0 0 2
29.69	31	3 1 0
33.48	51	2 0 2
35.49	31	0 2 0

Atomic structure:
```
data_LiFeSiO4
_symmetry_space_group_name_H-M 'P n a 21'
_symmetry_Int_Tables_number 33
_symmetry_space_group_name_Hall 'P 2c -2n'
_cell_length_a 11.230
_cell_length_b 5.059
_cell_length_c 6.090
_cell_angle_alpha 90.00
_cell_angle_beta 90.00
_cell_angle_gamma 90.00
loop_
_atom_site_label
_atom_site_type_symbol
_atom_site_fract_x
_atom_site_fract_y
_atom_site_fract_z
Li1 Li 0.079 0.169 0.000
Fe1 Fe 0.170 0.670 0.748
Si1 Si 0.167 0.668 0.251
O1 O 0.089 0.737 0.474
O2 O 0.104 0.782 0.025
O3 O 0.181 0.345 0.231
O4 O 0.198 0.301 0.771
```


Entry 5:
Theoretical powder X-ray diffraction pattern
Compound: LiFeSiO4
Radiation: Cu Kα (weighted mean of Kα1 and Kα2)
Structure: a cell relaxed with GGA+U
Peak positions follow from Bragg's law for the DFT cell and can differ from measured ones.

Peak list (6 most intense, 2θ from 10° to 90°, in order of rising 2θ)
Position (°2θ)	I/Imax	index
18.93	10	1 0 0
24.00	100	1 0 2
38.40	8	2 0 0
44.91	22	1 1 4
53.91	12	2 1 2
60.52	17	2 0 6

Atomic structure:
```
data_LiFeSiO4
_symmetry_space_group_name_H-M 'P 64 2 2'
_symmetry_Int_Tables_number 181
_symmetry_space_group_name_Hall 'P 64 2 (0 0 2)'
_cell_length_a 5.4132
_cell_length_b 5.4132
_cell_length_c 12.1174
_cell_angle_alpha 90.00
_cell_angle_beta 90.00
_cell_angle_gamma 120.00
loop_
_atom_site_label
_atom_site_type_symbol
_atom_site_fract_x
_atom_site_fract_y
_atom_site_fract_z
Li1 Li 0.0000 0.0000 0.0000
Fe1 Fe 0.0000 0.5000 0.8333
Si1 Si 0.0000 0.5000 0.3333
O1 O 0.1851 0.3969 0.2589
```


Entry 6:
Theoretical powder X-ray diffraction pattern
Compound: Li2FeSiO4
Radiation: Cu Kα (weighted mean of Kα1 and Kα2)
Structure: a cell relaxed with GGA+U
Peak positions follow from Bragg's law for the DFT cell and can differ from measured ones.

Peak list (6 most intense, 2θ from 10° to 90°, in order of rising 2θ)
Position (°2θ)	I/Imax	index
16.46	55	2 0 0
23.98	100	2 0 1
28.05	46	0 2 0
32.70	59	2 2 0
35.05	53	0 0 2
59.09	36	6 2 0

Atomic structure:
```
data_Li2FeSiO4
_symmetry_space_group_name_H-M 'P n m a'
_symmetry_Int_Tables_number 62
_symmetry_space_group_name_Hall '-P 2ac 2n'
_cell_length_a 10.771
_cell_length_b 6.362
_cell_length_c 5.120
_cell_angle_alpha 90.00
_cell_angle_beta 90.00
_cell_angle_gamma 90.00
loop_
_atom_site_label
_atom_site_type_symbol
_atom_site_fract_x
_atom_site_fract_y
_atom_site_fract_z
Li1 Li 0.169 0.006 0.207
Fe1 Fe 0.081 0.750 0.799
Si1 Si 0.084 0.250 0.696
O1 O 0.063 0.750 0.214
O2 O 0.091 0.250 0.372
O3 O 0.157 0.039 0.807
```